Starting from a structure optimized by DFT (GGA-PBE), the X-ray diffraction stick pattern of BaSr was calculated for Cu Kα, 1.54184 Å.
Neutral-atom scattering factors, no anomalous dispersion.

Top 12 peaks for 2θ = 5–70°, low angle first:
| two_theta | Rel. int. | hkl |
| --- | --- | --- |
| 12.3 | 5.0 | 0 0 1 |
| 23.7 | 24.9 | 1 0 0 |
| 24.8 | 26.6 | 0 0 2 |
| 26.8 | 100.0 | 1 0 1 |
| 34.5 | 18.8 | 1 0 2 |
| 41.6 | 19.9 | 1 1 0 |
| 44.9 | 24.3 | 1 0 3 |
| 49.0 | 24.6 | 1 1 2 |
| 50.2 | 17.4 | 2 0 1 |
| 62.9 | 8.9 | 2 0 3 |
| 67.2 | 14.6 | 2 1 1 |
| 67.7 | 9.4 | 1 1 4 |

Atomic structure:
a = 4.3398 Å, b = 4.3398 Å, c = 7.1847 Å
α = 90.00°, β = 90.00°, γ = 120.00°
Space group P-6m2 (No. 187)
Inequivalent atoms, fractional coordinates:
1 Ba 0.0000 0.0000 0.0000 [1 per cell]
2 Sr 0.6667 0.3333 0.5000 [1 per cell]

Starting from a structure optimized by DFT (GGA-PBE), the X-ray diffraction stick pattern of BaSr was calculated for Cu Kα, 1.54184 Å.
Neutral-atom scattering factors, no anomalous dispersion.

Top 12 peaks for 2θ = 5–70°, low angle first:
| two_theta | Rel. int. | hkl |
| --- | --- | --- |
| 6.4 | 7.8 | 0 0 1 |
| 25.7 | 100.0 | 1 1 2 |
| 26.0 | 48.7 | 0 2 0 |
| 36.3 | 10.1 | 2 0 0 |
| 37.1 | 18.9 | 0 2 4 |
| 45.2 | 21.5 | 2 2 0 |
| 45.7 | 41.7 | 1 3 2 |
| 52.9 | 13.4 | 2 2 4 |
| 59.2 | 9.6 | 3 1 2 |
| 60.2 | 9.3 | 1 3 6 |
| 60.3 | 8.9 | 0 4 4 |
| 66.3 | 6.7 | 2 4 0 |

Atomic structure:
a = 4.946 Å, b = 6.860 Å, c = 13.728 Å
α = 90.00°, β = 90.00°, γ = 90.00°
Space group Cmme (No. 67)
Inequivalent atoms, fractional coordinates:
1 Ba 0.000 0.250 0.129 [4 per cell]
2 Sr 0.000 0.250 0.621 [4 per cell]